No. 1
Starting from a DFT-relaxed cell (PBE, OQMD), the PXRD pattern of Sc2Ge2PtAu was computed for Cu Ka.
Peak positions follow from Bragg's law for the DFT cell and can differ from measured ones.

Structural model:
```
Sc2Ge2PtAu
1.0
4.318 0.000 0.000
-2.159 3.739 0.000
0.000 0.000 6.820
Sc Ge Pt Au
2 2 1 1
direct
0.000 0.000 0.000
0.000 0.000 0.481
0.333 0.667 0.688
0.667 0.333 0.207
0.333 0.667 0.292
0.667 0.333 0.789
```

Top 10 peaks for 2θ = 10–90°, low angle first:
two_theta, I_rel
23.80, 35
26.13, 43
27.20, 90
35.63, 81
41.84, 100
46.76, 54
50.00, 46
56.10, 21
64.53, 21
79.92, 23

---

No. 2
Starting from a DFT-relaxed cell (PBE, OQMD), the PXRD pattern of Rb4Ge2Au7 was computed for Cu Ka.
Peak positions follow from Bragg's law for the DFT cell and can differ from measured ones.

Structural model:
```
Rb4Ge2Au7
1.0
3.334 1.925 9.616
-3.334 1.925 9.616
0.000 -3.850 9.616
Rb Ge Au
4 2 7
direct
0.184 0.184 0.184
0.311 0.311 0.311
0.689 0.689 0.689
0.816 0.816 0.816
0.046 0.046 0.046
0.954 0.954 0.954
0.277 0.277 0.705
0.277 0.705 0.277
0.295 0.723 0.723
0.500 0.500 0.500
0.705 0.277 0.277
0.723 0.295 0.723
0.723 0.723 0.295
```

Top 10 peaks for 2θ = 10–90°, low angle first:
two_theta, I_rel
15.65, 28
16.54, 73
18.45, 44
29.20, 38
31.60, 65
32.69, 66
33.43, 100
44.38, 39
51.11, 28
55.09, 36

---

No. 3
Starting from a DFT-relaxed cell (PBE, OQMD), the PXRD pattern of RbGeAu3Se4 was computed for Cu Ka.
Peak positions follow from Bragg's law for the DFT cell and can differ from measured ones.

Structural model:
```
RbGeAu3Se4
1.0
6.398 0.000 0.000
0.000 7.760 0.000
-1.898 0.000 10.688
Rb Ge Au Se
2 2 6 8
direct
0.219 0.250 0.355
0.781 0.750 0.645
0.095 0.250 0.778
0.905 0.750 0.222
0.364 0.559 0.083
0.364 0.941 0.083
0.473 0.750 0.329
0.527 0.250 0.671
0.636 0.059 0.917
0.636 0.441 0.917
0.041 0.750 0.022
0.142 0.750 0.417
0.303 0.510 0.766
0.303 0.990 0.766
0.697 0.010 0.234
0.697 0.490 0.234
0.858 0.250 0.583
0.959 0.250 0.978
```

Top 10 peaks for 2θ = 10–90°, low angle first:
two_theta, I_rel
14.09, 100
24.41, 35
27.52, 34
30.39, 25
30.92, 32
33.16, 28
34.12, 30
41.87, 25
42.40, 20
47.19, 22

---

No. 4
Starting from a DFT-relaxed cell (PBE, OQMD), the PXRD pattern of SrGeAu2Se2S2 was computed for Cu Ka.
Peak positions follow from Bragg's law for the DFT cell and can differ from measured ones.

Structural model:
```
SrGeAu2Se2S2
1.0
10.616 0.000 0.000
0.000 7.717 0.000
-3.964 0.000 5.216
Sr Ge Au Se S
2 2 4 4 4
direct
0.000 0.000 0.000
0.500 0.500 0.000
0.000 0.516 0.000
0.500 0.016 0.000
0.000 0.307 0.500
0.000 0.698 0.500
0.500 0.198 0.500
0.500 0.807 0.500
0.171 0.327 0.972
0.329 0.827 0.028
0.671 0.827 0.972
0.829 0.327 0.028
0.152 0.689 0.349
0.348 0.189 0.651
0.652 0.189 0.349
0.848 0.689 0.651
```

Top 10 peaks for 2θ = 10–90°, low angle first:
two_theta, I_rel
15.55, 49
17.25, 47
21.02, 83
28.78, 72
28.93, 100
34.40, 72
34.90, 52
36.51, 45
41.86, 50
42.21, 39

---

No. 5
Starting from a DFT-relaxed cell (PBE, OQMD), the PXRD pattern of TmGeTeAuS2 was computed for Cu Ka.
Peak positions follow from Bragg's law for the DFT cell and can differ from measured ones.

Structural model:
```
TmGeTeAuS2
1.0
1.982 -6.755 0.000
1.982 6.755 0.000
0.000 0.000 11.257
Tm Ge Te Au S
2 2 2 2 4
direct
0.000 0.000 0.000
0.000 0.000 0.500
0.243 0.757 0.750
0.757 0.243 0.250
0.109 0.891 0.250
0.891 0.109 0.750
0.421 0.579 0.250
0.579 0.421 0.750
0.371 0.629 0.048
0.371 0.629 0.452
0.629 0.371 0.548
0.629 0.371 0.952
```

Top 10 peaks for 2θ = 10–90°, low angle first:
two_theta, I_rel
13.11, 58
15.74, 23
28.32, 33
31.09, 100
31.80, 52
34.09, 43
38.62, 44
43.28, 34
45.79, 22
50.86, 29

---

No. 6
Starting from a DFT-relaxed cell (PBE, OQMD), the PXRD pattern of TlGeAu3S4 was computed for Cu Ka.
Peak positions follow from Bragg's law for the DFT cell and can differ from measured ones.

Structural model:
```
TlGeAu3S4
1.0
6.123 0.000 0.000
0.000 7.210 0.000
-1.847 0.000 10.089
Tl Ge Au S
2 2 6 8
direct
0.180 0.250 0.368
0.820 0.750 0.632
0.082 0.250 0.769
0.918 0.750 0.231
0.374 0.548 0.104
0.374 0.952 0.104
0.499 0.250 0.635
0.501 0.750 0.365
0.626 0.048 0.896
0.626 0.452 0.896
0.058 0.750 0.037
0.149 0.750 0.426
0.284 0.510 0.753
0.284 0.990 0.753
0.716 0.010 0.247
0.716 0.490 0.247
0.851 0.250 0.574
0.942 0.250 0.963
```

Top 10 peaks for 2θ = 10–90°, low angle first:
two_theta, I_rel
14.71, 56
15.10, 39
18.47, 49
19.99, 87
26.25, 100
27.95, 75
31.75, 35
32.52, 35
35.41, 38
44.39, 54

---

No. 7
Starting from a DFT-relaxed cell (PBE, OQMD), the PXRD pattern of Si2Ge3Au2 was computed for Cu Ka.
Peak positions follow from Bragg's law for the DFT cell and can differ from measured ones.

Structural model:
```
Si2Ge3Au2
1.0
2.275 1.313 7.480
-2.275 1.313 7.480
0.000 -2.627 7.480
Si Ge Au
2 3 2
direct
0.000 0.000 0.000
0.490 0.490 0.490
0.374 0.374 0.374
0.618 0.618 0.618
0.868 0.868 0.868
0.232 0.232 0.232
0.751 0.751 0.751
```

Top 10 peaks for 2θ = 10–90°, low angle first:
two_theta, I_rel
23.79, 32
23.94, 88
27.67, 26
30.18, 15
39.43, 88
39.62, 100
46.77, 49
57.14, 30
71.76, 30
71.89, 17

---

No. 8
Starting from a DFT-relaxed cell (PBE, OQMD), the PXRD pattern of Sr2Si2GeAu was computed for Cu Ka.
Peak positions follow from Bragg's law for the DFT cell and can differ from measured ones.

Structural model:
```
Sr2Si2GeAu
1.0
0.000 4.664 7.371
4.257 0.000 7.371
4.257 4.664 0.000
Sr Si Ge Au
4 4 2 2
direct
0.247 0.753 0.247
0.250 0.250 0.250
0.750 0.750 0.750
0.753 0.247 0.753
0.169 0.671 0.831
0.329 0.831 0.671
0.671 0.169 0.329
0.831 0.329 0.169
0.162 0.162 0.838
0.838 0.838 0.162
0.337 0.337 0.663
0.663 0.663 0.337
```

Top 10 peaks for 2θ = 10–90°, low angle first:
two_theta, I_rel
20.87, 17
22.97, 18
28.39, 16
30.92, 100
38.61, 20
42.48, 45
53.46, 21
58.73, 35
65.11, 12
70.55, 18

---

No. 9
Starting from a DFT-relaxed cell (PBE, OQMD), the PXRD pattern of Sr2SiGe2Au was computed for Cu Ka.
Peak positions follow from Bragg's law for the DFT cell and can differ from measured ones.

Structural model:
```
Sr2SiGe2Au
1.0
0.000 4.656 7.468
4.306 0.000 7.468
4.306 4.656 0.000
Sr Si Ge Au
4 2 4 2
direct
0.249 0.751 0.249
0.250 0.250 0.250
0.750 0.750 0.750
0.751 0.249 0.751
0.165 0.165 0.835
0.835 0.835 0.165
0.161 0.672 0.839
0.328 0.839 0.672
0.672 0.161 0.328
0.839 0.328 0.161
0.329 0.329 0.671
0.671 0.671 0.329
```

Top 10 peaks for 2θ = 10–90°, low angle first:
two_theta, I_rel
15.22, 13
19.06, 16
22.73, 29
30.70, 100
38.67, 21
41.93, 49
52.86, 21
58.36, 36
65.09, 11
69.66, 19

---

No. 10
Starting from a DFT-relaxed cell (PBE, OQMD), the PXRD pattern of Tm3Si2Ge2Au4 was computed for Cu Ka.
Peak positions follow from Bragg's law for the DFT cell and can differ from measured ones.

Structural model:
```
Tm3Si2Ge2Au4
1.0
-2.129 3.480 7.193
2.129 -3.480 7.193
2.129 3.480 -7.193
Tm Si Ge Au
3 2 2 4
direct
0.000 0.000 0.000
0.375 0.875 0.500
0.625 0.125 0.500
0.216 0.216 0.000
0.784 0.784 0.000
0.313 0.500 0.813
0.687 0.500 0.187
0.031 0.328 0.703
0.375 0.672 0.703
0.625 0.328 0.297
0.969 0.672 0.297
```

Top 10 peaks for 2θ = 10–90°, low angle first:
two_theta, I_rel
27.51, 22
28.02, 33
33.84, 100
35.11, 61
37.51, 32
37.73, 25
38.31, 44
42.46, 44
43.32, 46
62.27, 32

---

No. 11
Starting from a DFT-relaxed cell (PBE, OQMD), the PXRD pattern of SmGeAu was computed for Cu Ka.
Peak positions follow from Bragg's law for the DFT cell and can differ from measured ones.

Structural model:
```
SmGeAu
1.0
4.508 0.000 0.000
-2.254 3.904 0.000
0.000 0.000 7.420
Sm Ge Au
2 2 2
direct
0.000 0.000 0.000
0.000 0.000 0.500
0.333 0.667 0.212
0.667 0.333 0.712
0.333 0.667 0.786
0.667 0.333 0.286
```

Top 10 peaks for 2θ = 10–90°, low angle first:
two_theta, I_rel
25.79, 34
33.32, 100
40.00, 73
43.31, 20
53.01, 27
65.13, 21
67.53, 9
68.43, 25
72.66, 13
86.32, 8

---

No. 12
Starting from a DFT-relaxed cell (PBE, OQMD), the PXRD pattern of Tb2SmGe4Au4 was computed for Cu Ka.
Peak positions follow from Bragg's law for the DFT cell and can differ from measured ones.

Structural model:
```
Tb2SmGe4Au4
1.0
-2.082 2.182 12.939
2.082 -2.182 12.939
2.082 2.182 -12.939
Tb Sm Ge Au
2 1 4 4
direct
0.149 0.149 0.000
0.851 0.851 0.000
0.500 0.000 0.500
0.048 0.548 0.500
0.311 0.311 0.000
0.689 0.689 0.000
0.952 0.452 0.500
0.247 0.747 0.500
0.406 0.406 0.000
0.594 0.594 0.000
0.753 0.253 0.500
```

Top 10 peaks for 2θ = 10–90°, low angle first:
two_theta, I_rel
27.53, 12
32.38, 30
32.79, 100
41.37, 25
43.46, 22
43.71, 22
53.49, 15
61.56, 16
63.34, 14
65.50, 11

---

No. 13
Starting from a DFT-relaxed cell (PBE, OQMD), the PXRD pattern of SrZn2GeAu was computed for Cu Ka.
Peak positions follow from Bragg's law for the DFT cell and can differ from measured ones.

Structural model:
```
SrZn2GeAu
1.0
4.341 0.000 0.000
0.000 4.341 0.000
0.000 0.000 11.227
Sr Zn Ge Au
2 4 2 2
direct
0.000 0.000 0.000
0.500 0.500 0.500
0.000 0.500 0.256
0.000 0.500 0.756
0.500 0.000 0.256
0.500 0.000 0.756
0.000 0.000 0.383
0.500 0.500 0.883
0.000 0.000 0.616
0.500 0.500 0.116
```

Top 10 peaks for 2θ = 10–90°, low angle first:
two_theta, I_rel
21.95, 64
29.09, 39
31.57, 96
33.27, 100
41.61, 81
43.70, 57
45.48, 54
53.15, 45
60.31, 27
63.33, 40